1.
Diffraction record for Rb2Sb2Mo. The powder XRD pattern is computed, not measured: it uses a PBE-relaxed structure and copper Kα.
Peak positions follow from Bragg's law for the DFT cell and can differ from measured ones.

Most intense lines, 5 to 70 degrees two-theta, by angle:
d [Å], 2θ (°), I/Imax
8.624, 10.26, 44
6.895, 12.84, 43
4.668, 19.01, 32
3.527, 25.25, 93
2.929, 30.52, 100
2.834, 31.56, 49
2.775, 32.25, 25
2.553, 35.16, 36
2.372, 37.93, 23
2.334, 38.58, 27
2.028, 44.68, 35
1.850, 49.26, 28

```
Rb2Sb2Mo
1.0
3.7611 -8.6242 0.0000
3.7611 8.6242 0.0000
0.0000 0.0000 5.5510
Rb Sb Mo
4 4 2
Direct
0.0787 0.9213 0.7500
0.2817 0.7183 0.2500
0.7183 0.2817 0.7500
0.9213 0.0787 0.2500
0.1902 0.4115 0.7500
0.4115 0.1902 0.2500
0.5885 0.8098 0.7500
0.8098 0.5885 0.2500
0.5000 0.5000 0.0000
0.5000 0.5000 0.5000
```

2.
Diffraction record for RbTe2Mo3Se. The powder XRD pattern is computed, not measured: it uses a PBE-relaxed structure and copper Kα.
Peak positions follow from Bragg's law for the DFT cell and can differ from measured ones.

Most intense lines, 5 to 70 degrees two-theta, by angle:
d [Å], 2θ (°), I/Imax
8.600, 10.29, 100
8.484, 10.43, 24
3.356, 26.56, 25
3.263, 27.33, 12
3.138, 28.44, 14
2.632, 34.07, 13
2.295, 39.26, 26
2.192, 41.19, 16
2.168, 41.65, 31
2.110, 42.87, 12
2.095, 43.17, 12
1.819, 50.14, 12

```
RbTe2Mo3Se
1.0
9.8409 0.0000 0.0000
0.0000 4.5897 0.0000
-4.7848 0.0000 8.6008
Rb Te Mo Se
2 4 6 2
Direct
0.1500 0.2500 0.3447
0.8500 0.7500 0.6553
0.1984 0.7500 0.0566
0.4473 0.7500 0.6444
0.5527 0.2500 0.3556
0.8016 0.2500 0.9434
0.3337 0.7500 0.8598
0.3594 0.2500 0.0276
0.4757 0.2500 0.8338
0.5243 0.7500 0.1662
0.6406 0.7500 0.9724
0.6663 0.2500 0.1402
0.1724 0.2500 0.7250
0.8276 0.7500 0.2750
```

3.
Diffraction record for Rb2Te3Mo. The powder XRD pattern is computed, not measured: it uses a PBE-relaxed structure and copper Kα.
Peak positions follow from Bragg's law for the DFT cell and can differ from measured ones.

Most intense lines, 5 to 70 degrees two-theta, by angle:
d [Å], 2θ (°), I/Imax
7.472, 11.84, 23
6.378, 13.88, 15
3.844, 23.14, 43
3.651, 24.38, 67
3.556, 25.04, 100
3.189, 27.98, 14
2.929, 30.52, 13
2.908, 30.75, 13
2.891, 30.93, 25
2.707, 33.10, 14
2.527, 35.53, 32
2.305, 39.08, 35

```
Rb2Te3Mo
1.0
7.7239 0.0000 0.0000
3.1459 7.5658 0.0000
3.5315 1.3969 8.8083
Rb Te Mo
4 6 2
Direct
0.1112 0.1967 0.1214
0.3511 0.5532 0.3092
0.6489 0.4468 0.6908
0.8888 0.8033 0.8786
0.1666 0.3712 0.7103
0.2557 0.9523 0.4789
0.3665 0.8190 0.9031
0.6335 0.1810 0.0969
0.7443 0.0477 0.5211
0.8334 0.6288 0.2897
0.3798 0.0486 0.6554
0.6202 0.9514 0.3446
```

4.
Diffraction record for Rb3U3Mo2. The powder XRD pattern is computed, not measured: it uses a PBE-relaxed structure and copper Kα.
Peak positions follow from Bragg's law for the DFT cell and can differ from measured ones.

Most intense lines, 5 to 70 degrees two-theta, by angle:
d [Å], 2θ (°), I/Imax
8.408, 10.52, 100
5.070, 17.49, 25
3.729, 23.86, 49
2.988, 29.90, 18
2.752, 32.54, 34
2.704, 33.13, 24
2.545, 35.27, 20
2.535, 35.41, 34
2.195, 41.12, 17
2.080, 43.50, 30
1.933, 47.01, 16
1.598, 57.68, 17

```
Rb3U3Mo2
1.0
3.1967 1.8456 8.4078
-3.1967 1.8456 8.4078
0.0000 -3.6912 8.4078
Rb U Mo
3 3 2
Direct
0.0000 0.0000 0.0000
0.3957 0.3957 0.3957
0.6043 0.6043 0.6043
0.0000 0.0000 0.5000
0.0000 0.5000 0.0000
0.5000 0.0000 0.0000
0.2348 0.2348 0.2348
0.7652 0.7652 0.7652
```

5.
Diffraction record for Re2SnMo. The powder XRD pattern is computed, not measured: it uses a PBE-relaxed structure and copper Kα.
Peak positions follow from Bragg's law for the DFT cell and can differ from measured ones.

Most intense lines, 5 to 70 degrees two-theta, by angle:
d [Å], 2θ (°), I/Imax
3.690, 24.12, 8
2.259, 39.90, 100
1.927, 47.17, 4
1.598, 57.70, 17
1.466, 63.45, 2

```
Re2SnMo
1.0
6.3907 0.0000 0.0000
0.0000 6.3907 0.0000
0.0000 0.0000 6.3907
Re Sn Mo
8 4 4
Direct
0.0000 0.0000 0.0000
0.0000 0.5000 0.5000
0.2500 0.2500 0.2500
0.2500 0.7500 0.7500
0.5000 0.0000 0.5000
0.5000 0.5000 0.0000
0.7500 0.2500 0.7500
0.7500 0.7500 0.2500
0.0000 0.0000 0.5000
0.0000 0.5000 0.0000
0.5000 0.0000 0.0000
0.5000 0.5000 0.5000
0.2500 0.2500 0.7500
0.2500 0.7500 0.2500
0.7500 0.2500 0.2500
0.7500 0.7500 0.7500
```

6.
Diffraction record for Ta2Re2Mo3. The powder XRD pattern is computed, not measured: it uses a PBE-relaxed structure and copper Kα.
Peak positions follow from Bragg's law for the DFT cell and can differ from measured ones.

Most intense lines, 5 to 70 degrees two-theta, by angle:
d [Å], 2θ (°), I/Imax
3.769, 23.61, 3
3.606, 24.69, 5
3.121, 28.61, 45
2.862, 31.25, 5
2.399, 37.49, 4
2.210, 40.83, 100
2.203, 40.96, 96
1.803, 50.61, 10
1.796, 50.83, 3
1.560, 59.22, 32
1.397, 66.98, 9
1.394, 67.16, 8

```
Ta2Re2Mo3
1.0
2.2098 1.2759 7.1853
-2.2098 1.2759 7.1853
0.0000 -2.5517 7.1853
Ta Re Mo
2 2 3
Direct
0.0000 0.0000 0.0000
0.4900 0.4900 0.4900
0.2444 0.2444 0.2444
0.7400 0.7400 0.7400
0.1201 0.1201 0.1201
0.6206 0.6206 0.6206
0.8712 0.8712 0.8712
```

7.
Diffraction record for Mo3S4. The powder XRD pattern is computed, not measured: it uses a PBE-relaxed structure and copper Kα.
Peak positions follow from Bragg's law for the DFT cell and can differ from measured ones.

Most intense lines, 5 to 70 degrees two-theta, by angle:
d [Å], 2θ (°), I/Imax
5.865, 15.11, 54
5.252, 16.88, 100
3.389, 26.30, 41
3.034, 29.44, 42
2.933, 30.48, 34
2.817, 31.77, 89
2.570, 34.91, 67
2.181, 41.40, 42
2.142, 42.18, 38
2.063, 43.89, 78
2.043, 44.33, 40
2.002, 45.31, 92

```
Mo3S4
1.0
6.3610 0.0000 0.0000
-1.5943 6.4394 0.0000
-3.1618 -2.5101 5.5389
Mo S
6 8
Direct
0.0237 0.0135 0.3088
0.2858 0.5018 0.0035
0.4518 0.9826 0.6796
0.5482 0.0174 0.3204
0.7142 0.4982 0.9965
0.9763 0.9865 0.6912
0.0148 0.7049 0.4350
0.0535 0.7674 0.9722
0.4440 0.2117 0.0314
0.4689 0.2871 0.5530
0.5311 0.7129 0.4470
0.5560 0.7883 0.9686
0.9465 0.2326 0.0278
0.9852 0.2951 0.5650
```

8.
Diffraction record for Mo5S4. The powder XRD pattern is computed, not measured: it uses a PBE-relaxed structure and copper Kα.
Peak positions follow from Bragg's law for the DFT cell and can differ from measured ones.

Most intense lines, 5 to 70 degrees two-theta, by angle:
d [Å], 2θ (°), I/Imax
6.595, 13.43, 94
2.949, 30.30, 31
2.574, 34.85, 86
2.254, 40.01, 100
2.198, 41.06, 24
2.086, 43.39, 62
2.029, 44.66, 43
1.861, 48.96, 29
1.829, 49.85, 18
1.636, 56.24, 19
1.475, 63.04, 16
1.388, 67.46, 16

```
Mo5S4
1.0
-4.6634 4.6634 1.6358
4.6634 -4.6634 1.6358
4.6634 4.6634 -1.6358
Mo S
5 4
Direct
0.0000 0.0000 0.0000
0.2915 0.3791 0.6706
0.3791 0.7085 0.0876
0.6209 0.2915 0.9124
0.7085 0.6209 0.3294
0.0568 0.2766 0.3334
0.2766 0.9432 0.2198
0.7234 0.0568 0.7802
0.9432 0.7234 0.6666
```